Diffraction record for Ce6Hg6Bi. The XRD peak list is simulated, not measured: it uses DFT lattice parameters and positions (GGA-PBE) and Cu Kα.

Cell and atoms:
abc: 6.3788 11.0509 10.7728
angles: 90.00 90.00 90.00
Space group Cmmm (No. 65)
One atom of each set of equivalent atoms:
Ce (0.0000, 0.0000, 0.1866) [4 per cell]
Ce (0.0000, 0.3330, 0.0000) [4 per cell]
Ce (0.0000, 0.3343, 0.5000) [4 per cell]
Hg (0.0000, 0.5000, 0.2494) [4 per cell]
Hg (0.2500, 0.2500, 0.2501) [8 per cell]
Bi (0.0000, 0.0000, 0.5000) [2 per cell]

Most intense lines, 2θ = 10–90°, in order of falling intensity:
36.6 deg, I = 1000, (0 4 2)
32.4 deg, I = 633, (2 2 0)
32.6 deg, I = 589, (2 0 2)
33.3 deg, I = 381, (0 0 4)
57.8 deg, I = 313, (4 0 0)
68.4 deg, I = 292, (4 0 4)

Diffraction record for CeHg2Bi. The XRD peak list is simulated, not measured: it uses DFT lattice parameters and positions (GGA-PBE) and Cu Kα.

Cell and atoms:
abc: 4.6202 4.6202 5.1272
angles: 90.00 90.00 90.00
Space group P4/mmm (No. 123)
One atom of each set of equivalent atoms:
Ce (0.0000, 0.0000, 0.0000) [1 per cell]
Hg (0.0000, 0.5000, 0.5000) [2 per cell]
Bi (0.5000, 0.5000, 0.0000) [1 per cell]

Most intense lines, 2θ = 10–90°, in order of falling intensity:
32.5 deg, I = 1000, (1 1 1)
39.0 deg, I = 308, (2 0 0)
66.6 deg, I = 262, (3 1 1)
53.4 deg, I = 251, (2 0 2)
35.0 deg, I = 206, (0 0 2)
61.2 deg, I = 167, (1 1 3)

Diffraction record for Ce2Hg2Bi. The XRD peak list is simulated, not measured: it uses DFT lattice parameters and positions (GGA-PBE) and Cu Kα.

Cell and atoms:
abc: 17.2554 5.7431 5.7329
angles: 90.00 90.10 90.00
Space group C2/c (No. 15)
One atom of each set of equivalent atoms:
Ce (0.1051, 0.2495, 0.2502) [8 per cell]
Hg (0.2043, 0.2509, 0.7505) [8 per cell]
Bi (0.0000, 0.2504, 0.7500) [4 per cell]

Most intense lines, 2θ = 10–90°, in order of falling intensity:
34.1 deg, I = 1000, (5 1 1)
57.3 deg, I = 344, (5 3 -1)
31.1 deg, I = 324, (0 2 0)
31.2 deg, I = 320, (0 0 2)
44.7 deg, I = 247, (0 2 2)
62.8 deg, I = 126, (10 0 -2)

Diffraction record for Li4Ce2Hg2Bi3. The XRD peak list is simulated, not measured: it uses DFT lattice parameters and positions (GGA-PBE) and Cu Kα.

Cell and atoms:
abc: 4.5279 4.5279 27.0236
angles: 90.00 90.00 90.00
Space group I4/mmm (No. 139)
One atom of each set of equivalent atoms:
Li (0.0000, 0.5000, 0.1020) [8 per cell]
Ce (0.0000, 0.0000, 0.2009) [4 per cell]
Hg (0.0000, 0.0000, 0.0530) [4 per cell]
Bi (0.0000, 0.0000, 0.3236) [4 per cell]
Bi (0.0000, 0.0000, 0.5000) [2 per cell]

Most intense lines, 2θ = 10–90°, in order of falling intensity:
27.9 deg, I = 1000, (1 1 0)
30.4 deg, I = 559, (1 0 7)
39.8 deg, I = 419, (2 0 0)
41.8 deg, I = 318, (1 0 11)
38.8 deg, I = 273, (1 1 8)
50.9 deg, I = 271, (2 1 7)